For Cs4HgAu, a structure optimized by DFT (PBE) gives the simulated X-ray powder pattern in this record (CuKα).
No peak broadening, texture or thermal motion is included.

Atomic structure:
```
data_Cs4HgAu
_cell_length_a 11.995
_cell_length_b 17.343
_cell_length_c 8.655
_cell_angle_alpha 90.00
_cell_angle_beta 124.08
_cell_angle_gamma 90.00
_space_group_name_H-M_alt 'C 1 2/c 1'
_space_group_IT_number 15
loop_
_space_group_symop_operation_xyz
'x,y,z'
'-x,-y,-z'
'-x,y,-z+1/2'
'x,-y,z+1/2'
'x+1/2,y+1/2,z'
'-x+1/2,-y+1/2,-z'
'-x+1/2,y+1/2,-z+1/2'
'x+1/2,-y+1/2,z+1/2'
loop_
_atom_site_label
_atom_site_type_symbol
_atom_site_fract_x
_atom_site_fract_y
_atom_site_fract_z
_atom_site_occupancy
Cs1 Cs 0.116 0.172 0.089 1
Cs2 Cs 0.210 0.440 0.276 1
Hg1 Hg 0.000 0.363 0.750 1
Au1 Au 0.000 0.001 0.250 1
```

Peak list (6 most intense, 2θ = 15–90°, low angle first)
| d_spacing | 2θ (°) | I_rel | index |
| --- | --- | --- | --- |
| 3.870 | 22.98 | 55 | 3 1 -1 |
| 3.710 | 23.99 | 47 | 0 4 1 |
| 3.402 | 26.20 | 57 | 1 3 -2 |
| 3.274 | 27.24 | 43 | 1 5 0 |
| 3.091 | 28.88 | 100 | 3 3 -2 |
| 2.874 | 31.12 | 44 | 3 3 0 |

***

For Cs6Hg10Au, a structure optimized by DFT (PBE) gives the simulated X-ray powder pattern in this record (CuKα).
No peak broadening, texture or thermal motion is included.

Atomic structure:
```
data_Cs6Hg10Au
_cell_length_a 11.5401
_cell_length_b 11.5401
_cell_length_c 6.5768
_cell_angle_alpha 90.00
_cell_angle_beta 90.00
_cell_angle_gamma 120.00
_space_group_name_H-M_alt 'P -3 1 m'
_space_group_IT_number 162
_space_group_name_Hall '-P 3 2'
loop_
_atom_site_label
_atom_site_type_symbol
_atom_site_fract_x
_atom_site_fract_y
_atom_site_fract_z
_atom_site_occupancy
Cs1 Cs 0.0000 0.3676 0.2774 1
Hg1 Hg 0.0000 0.1859 0.8094 1
Hg2 Hg 0.3333 0.6667 0.0000 1
Hg3 Hg 0.3333 0.6667 0.5000 1
Au1 Au 0.0000 0.0000 0.5000 1
```

Peak list (6 most intense, 2θ = 15–90°, low angle first)
| d_spacing | 2θ (°) | I_rel | index |
| --- | --- | --- | --- |
| 5.770 | 15.36 | 37 | 1 1 0 |
| 3.331 | 26.76 | 43 | 3 0 0 |
| 3.276 | 27.23 | 100 | 3 -1 1 |
| 2.857 | 31.31 | 66 | 1 1 2 |
| 2.642 | 33.93 | 60 | 4 -2 1 |
| 2.168 | 41.65 | 53 | 2 2 2 |

***

For Cs3HgAu2, a structure optimized by DFT (PBE) gives the simulated X-ray powder pattern in this record (CuKα).
No peak broadening, texture or thermal motion is included.

Atomic structure:
```
data_Cs3HgAu2
_cell_length_a 14.338
_cell_length_b 5.179
_cell_length_c 14.781
_cell_angle_alpha 90.00
_cell_angle_beta 90.00
_cell_angle_gamma 90.00
_space_group_name_H-M_alt 'P n m a'
_space_group_IT_number 62
loop_
_space_group_symop_operation_xyz
'x,y,z'
'-x,-y,-z'
'-x+1/2,-y,z+1/2'
'x+1/2,y,-z+1/2'
'x+1/2,-y+1/2,-z+1/2'
'-x+1/2,y+1/2,z+1/2'
'-x,y+1/2,-z'
'x,-y+1/2,z'
loop_
_atom_site_label
_atom_site_type_symbol
_atom_site_fract_x
_atom_site_fract_y
_atom_site_fract_z
_atom_site_occupancy
Cs1 Cs 0.059 0.250 0.122 1
Cs2 Cs 0.124 0.750 0.557 1
Cs3 Cs 0.196 0.250 0.804 1
Hg1 Hg 0.129 0.250 0.368 1
Au1 Au 0.037 0.750 0.318 1
Au2 Au 0.188 0.750 0.979 1
```

Peak list (6 most intense, 2θ = 15–90°, low angle first)
| d_spacing | 2θ (°) | I_rel | index |
| --- | --- | --- | --- |
| 3.650 | 24.38 | 47 | 2 1 2 |
| 3.570 | 24.94 | 100 | 0 1 3 |
| 3.172 | 28.13 | 85 | 3 1 2 |
| 2.774 | 32.27 | 56 | 2 1 4 |
| 2.736 | 32.73 | 95 | 2 0 5 |
| 2.590 | 34.64 | 73 | 0 2 0 |

***

For Cs9HgAu3, a structure optimized by DFT (PBE) gives the simulated X-ray powder pattern in this record (CuKα).
No peak broadening, texture or thermal motion is included.

Atomic structure:
```
data_Cs9HgAu3
_cell_length_a 9.111
_cell_length_b 13.453
_cell_length_c 15.015
_cell_angle_alpha 90.00
_cell_angle_beta 95.19
_cell_angle_gamma 90.00
_space_group_name_H-M_alt 'P 1 21/m 1'
_space_group_IT_number 11
loop_
_space_group_symop_operation_xyz
'x,y,z'
'-x,-y,-z'
'-x,y+1/2,-z'
'x,-y+1/2,z'
loop_
_atom_site_label
_atom_site_type_symbol
_atom_site_fract_x
_atom_site_fract_y
_atom_site_fract_z
_atom_site_occupancy
Cs1 Cs 0.092 0.250 0.197 1
Cs2 Cs 0.158 0.570 0.377 1
Cs3 Cs 0.209 0.250 0.855 1
Cs4 Cs 0.258 0.558 0.039 1
Cs5 Cs 0.358 0.250 0.528 1
Cs6 Cs 0.362 0.571 0.713 1
Hg1 Hg 0.462 0.250 0.079 1
Au1 Au 0.047 0.003 0.830 1
Au2 Au 0.500 0.000 0.500 1
```

Peak list (6 most intense, 2θ = 15–90°, low angle first)
| d_spacing | 2θ (°) | I_rel | index |
| --- | --- | --- | --- |
| 4.043 | 21.99 | 36 | 2 0 -2 |
| 4.019 | 22.12 | 100 | 1 3 0 |
| 3.359 | 26.54 | 44 | 0 4 0 |
| 2.899 | 30.84 | 31 | 2 2 3 |
| 2.674 | 33.52 | 47 | 3 2 1 |
| 2.660 | 33.69 | 32 | 3 2 -2 |

***

For Cs7HgAu2, a structure optimized by DFT (PBE) gives the simulated X-ray powder pattern in this record (CuKα).
No peak broadening, texture or thermal motion is included.

Atomic structure:
```
data_Cs7HgAu2
_cell_length_a 12.030
_cell_length_b 18.190
_cell_length_c 6.926
_cell_angle_alpha 90.00
_cell_angle_beta 90.00
_cell_angle_gamma 90.00
_space_group_name_H-M_alt 'C m m m'
_space_group_IT_number 65
_space_group_name_Hall '-C 2 2'
loop_
_atom_site_label
_atom_site_type_symbol
_atom_site_fract_x
_atom_site_fract_y
_atom_site_fract_z
_atom_site_occupancy
Cs1 Cs 0.000 0.000 0.000 1
Cs2 Cs 0.000 0.217 0.500 1
Cs3 Cs 0.187 0.366 0.000 1
Hg1 Hg 0.000 0.500 0.500 1
Au1 Au 0.000 0.202 0.000 1
```

Peak list (6 most intense, 2θ = 15–90°, low angle first)
| d_spacing | 2θ (°) | I_rel | index |
| --- | --- | --- | --- |
| 3.627 | 24.54 | 100 | 2 4 0 |
| 3.463 | 25.72 | 100 | 0 0 2 |
| 3.409 | 26.14 | 87 | 3 1 1 |
| 3.345 | 26.65 | 69 | 3 3 0 |
| 2.506 | 35.84 | 96 | 2 4 2 |
| 2.406 | 37.38 | 57 | 3 3 2 |

***

For Cs3Hg2Au4, a structure optimized by DFT (PBE) gives the simulated X-ray powder pattern in this record (CuKα).
No peak broadening, texture or thermal motion is included.

Atomic structure:
```
data_Cs3Hg2Au4
_cell_length_a 5.091
_cell_length_b 6.920
_cell_length_c 10.062
_cell_angle_alpha 70.83
_cell_angle_beta 89.66
_cell_angle_gamma 68.49
_space_group_name_H-M_alt 'P -1'
_space_group_IT_number 2
loop_
_space_group_symop_operation_xyz
'x,y,z'
'-x,-y,-z'
loop_
_atom_site_label
_atom_site_type_symbol
_atom_site_fract_x
_atom_site_fract_y
_atom_site_fract_z
_atom_site_occupancy
Cs1 Cs 0.000 0.000 0.000 1
Cs2 Cs 0.380 0.240 0.631 1
Hg1 Hg 0.306 0.390 0.237 1
Au1 Au 0.085 0.831 0.631 1
Au2 Au 0.242 0.516 0.920 1
```

Peak list (6 most intense, 2θ = 15–90°, low angle first)
| d_spacing | 2θ (°) | I_rel | index |
| --- | --- | --- | --- |
| 3.217 | 27.73 | 77 | 0 2 1 |
| 3.036 | 29.42 | 53 | 1 2 2 |
| 2.546 | 35.26 | 100 | 2 1 0 |
| 2.467 | 36.42 | 60 | 1 0 3 |
| 2.452 | 36.64 | 61 | 1 1 -3 |
| 2.347 | 38.36 | 46 | 1 -1 2 |

***

For Cs3Hg8Au2, a structure optimized by DFT (PBE) gives the simulated X-ray powder pattern in this record (CuKα).
No peak broadening, texture or thermal motion is included.

Atomic structure:
```
data_Cs3Hg8Au2
_cell_length_a 6.6048
_cell_length_b 6.6048
_cell_length_c 37.0893
_cell_angle_alpha 90.00
_cell_angle_beta 90.00
_cell_angle_gamma 120.00
_space_group_name_H-M_alt 'R -3 m'
_space_group_IT_number 166
_space_group_name_Hall '-R 3 2"'
loop_
_atom_site_label
_atom_site_type_symbol
_atom_site_fract_x
_atom_site_fract_y
_atom_site_fract_z
_atom_site_occupancy
Cs1 Cs 0.0000 0.0000 0.0000 1
Cs2 Cs 0.0000 0.0000 0.1866 1
Hg1 Hg 0.0000 0.0000 0.2883 1
Hg2 Hg 0.0037 0.5019 0.2400 1
Au1 Au 0.0000 0.0000 0.3653 1
```

Peak list (6 most intense, 2θ = 15–90°, low angle first)
| d_spacing | 2θ (°) | I_rel | index |
| --- | --- | --- | --- |
| 3.302 | 27.00 | 32 | 1 1 0 |
| 2.908 | 30.74 | 100 | 0 1 11 |
| 2.827 | 31.66 | 94 | 2 0 2 |
| 2.733 | 32.77 | 41 | 0 2 4 |
| 1.821 | 50.11 | 42 | 1 2 11 |
| 1.651 | 55.66 | 41 | 2 2 0 |

***

For Cs2Hg5Au, a structure optimized by DFT (PBE) gives the simulated X-ray powder pattern in this record (CuKα).
No peak broadening, texture or thermal motion is included.

Atomic structure:
```
data_Cs2Hg5Au
_cell_length_a 7.084
_cell_length_b 7.084
_cell_length_c 12.693
_cell_angle_alpha 90.00
_cell_angle_beta 90.00
_cell_angle_gamma 90.00
_space_group_name_H-M_alt 'I 4 m m'
_space_group_IT_number 107
_space_group_name_Hall 'I 4 -2'
loop_
_atom_site_label
_atom_site_type_symbol
_atom_site_fract_x
_atom_site_fract_y
_atom_site_fract_z
_atom_site_occupancy
Cs1 Cs 0.000 0.500 0.000 1
Hg1 Hg 0.000 0.000 0.373 1
Hg2 Hg 0.234 0.234 0.749 1
Au1 Au 0.000 0.000 0.604 1
```

Peak list (6 most intense, 2θ = 15–90°, low angle first)
| d_spacing | 2θ (°) | I_rel | index |
| --- | --- | --- | --- |
| 3.093 | 28.87 | 100 | 2 0 2 |
| 2.681 | 33.43 | 23 | 1 1 4 |
| 2.505 | 35.85 | 49 | 2 2 0 |
| 2.363 | 38.07 | 34 | 2 0 4 |
| 1.771 | 51.61 | 17 | 4 0 0 |
| 1.537 | 60.21 | 26 | 4 2 2 |

***

Repeat the first record exactly.
For Cs4HgAu, a structure optimized by DFT (PBE) gives the simulated X-ray powder pattern in this record (CuKα).
No peak broadening, texture or thermal motion is included.

Atomic structure:
```
data_Cs4HgAu
_cell_length_a 11.995
_cell_length_b 17.343
_cell_length_c 8.655
_cell_angle_alpha 90.00
_cell_angle_beta 124.08
_cell_angle_gamma 90.00
_space_group_name_H-M_alt 'C 1 2/c 1'
_space_group_IT_number 15
loop_
_space_group_symop_operation_xyz
'x,y,z'
'-x,-y,-z'
'-x,y,-z+1/2'
'x,-y,z+1/2'
'x+1/2,y+1/2,z'
'-x+1/2,-y+1/2,-z'
'-x+1/2,y+1/2,-z+1/2'
'x+1/2,-y+1/2,z+1/2'
loop_
_atom_site_label
_atom_site_type_symbol
_atom_site_fract_x
_atom_site_fract_y
_atom_site_fract_z
_atom_site_occupancy
Cs1 Cs 0.116 0.172 0.089 1
Cs2 Cs 0.210 0.440 0.276 1
Hg1 Hg 0.000 0.363 0.750 1
Au1 Au 0.000 0.001 0.250 1
```

Peak list (6 most intense, 2θ = 15–90°, low angle first)
| d_spacing | 2θ (°) | I_rel | index |
| --- | --- | --- | --- |
| 3.870 | 22.98 | 55 | 3 1 -1 |
| 3.710 | 23.99 | 47 | 0 4 1 |
| 3.402 | 26.20 | 57 | 1 3 -2 |
| 3.274 | 27.24 | 43 | 1 5 0 |
| 3.091 | 28.88 | 100 | 3 3 -2 |
| 2.874 | 31.12 | 44 | 3 3 0 |

***

Copy entry 3 word for word.
For Cs3HgAu2, a structure optimized by DFT (PBE) gives the simulated X-ray powder pattern in this record (CuKα).
No peak broadening, texture or thermal motion is included.

Atomic structure:
```
data_Cs3HgAu2
_cell_length_a 14.338
_cell_length_b 5.179
_cell_length_c 14.781
_cell_angle_alpha 90.00
_cell_angle_beta 90.00
_cell_angle_gamma 90.00
_space_group_name_H-M_alt 'P n m a'
_space_group_IT_number 62
loop_
_space_group_symop_operation_xyz
'x,y,z'
'-x,-y,-z'
'-x+1/2,-y,z+1/2'
'x+1/2,y,-z+1/2'
'x+1/2,-y+1/2,-z+1/2'
'-x+1/2,y+1/2,z+1/2'
'-x,y+1/2,-z'
'x,-y+1/2,z'
loop_
_atom_site_label
_atom_site_type_symbol
_atom_site_fract_x
_atom_site_fract_y
_atom_site_fract_z
_atom_site_occupancy
Cs1 Cs 0.059 0.250 0.122 1
Cs2 Cs 0.124 0.750 0.557 1
Cs3 Cs 0.196 0.250 0.804 1
Hg1 Hg 0.129 0.250 0.368 1
Au1 Au 0.037 0.750 0.318 1
Au2 Au 0.188 0.750 0.979 1
```

Peak list (6 most intense, 2θ = 15–90°, low angle first)
| d_spacing | 2θ (°) | I_rel | index |
| --- | --- | --- | --- |
| 3.650 | 24.38 | 47 | 2 1 2 |
| 3.570 | 24.94 | 100 | 0 1 3 |
| 3.172 | 28.13 | 85 | 3 1 2 |
| 2.774 | 32.27 | 56 | 2 1 4 |
| 2.736 | 32.73 | 95 | 2 0 5 |
| 2.590 | 34.64 | 73 | 0 2 0 |

***

Question: Number 5 is which compound?
Answer: Cs7HgAu2